Theoretical PXRD pattern of ZrPa2Se5 for Cu Kα X-rays, from a cell relaxed with GGA-PBE.
No peak broadening, texture or thermal motion is included.

Main lines, in order of rising 2θ (2θ = 15–90°):
| 2θ/deg | I (rel.) |
| --- | --- |
| 17.3 | 90.1 |
| 24.7 | 100.0 |
| 31.4 | 41.7 |
| 31.9 | 90.8 |
| 35.0 | 70.3 |
| 37.1 | 37.6 |
| 40.8 | 54.4 |
| 48.0 | 47.7 |

Cell and atoms:
```
16
Lattice="2.8071 -6.3359 0.0000 2.8071 6.3359 0.0000 0.0000 0.0000 13.1137" Properties=species:S:1:pos:R:3 pbc="T T T"
Zr 2.8071 3.4946 9.8352
Zr 2.8071 -3.4946 3.2784
Pa 2.8071 4.3529 0.8044
Pa 2.8071 4.3529 5.7524
Pa 2.8071 -4.3529 7.3613
Pa 2.8071 -4.3529 12.3092
Se 2.8071 5.6795 8.2127
Se 2.8071 5.6795 11.4578
Se 2.8071 2.9029 3.2784
Se 2.8071 1.9762 7.4961
Se 2.8071 1.9762 12.1744
Se 2.8071 -1.9762 0.9392
Se 2.8071 -1.9762 5.6176
Se 2.8071 -2.9029 9.8352
Se 2.8071 -5.6795 1.6559
Se 2.8071 -5.6795 4.9010
```